# VTcGeIr2
Simulated XRD peak list, λ = 1.5418 Å (Cu Kα). Input: the GGA-PBE geometry in Alexandria.

Most intense lines, 2θ from 10° to 90°, low angle first:
2θ = 19.61°, d = 4.527 Å, rel. 44; 2θ = 34.47°, d = 2.602 Å, rel. 100; 2θ = 39.82°, d = 2.264 Å, rel. 30; 2θ = 40.10°, d = 2.249 Å, rel. 59; 2θ = 57.80°, d = 1.595 Å, rel. 40; 2θ = 69.25°, d = 1.357 Å, rel. 26

```
5
Lattice="4.4971 0.0000 0.0000 0.0000 4.4971 0.0000 0.0000 0.0000 4.5272" Properties=species:S:1:pos:R:3 pbc="T T T"
V 0.0000 0.0000 0.0000
Tc 2.2485 2.2485 0.0000
Ge 0.0000 0.0000 2.2636
Ir 0.0000 2.2485 2.2636
Ir 2.2485 0.0000 2.2636
```

# Ca2Ac2Cd15
Simulated XRD peak list, λ = 1.5418 Å (Cu Kα). Input: the GGA-PBE geometry in Alexandria.

Most intense lines, 2θ from 10° to 90°, low angle first:
2θ = 24.12°, d = 3.690 Å, rel. 24; 2θ = 30.16°, d = 2.963 Å, rel. 26; 2θ = 33.96°, d = 2.639 Å, rel. 34; 2θ = 34.57°, d = 2.594 Å, rel. 100; 2θ = 34.76°, d = 2.581 Å, rel. 70; 2θ = 38.85°, d = 2.318 Å, rel. 29

```
19
Lattice="5.1595 2.9788 5.2790 -5.1595 2.9788 5.2790 0.0000 -5.9577 5.2790" Properties=species:S:1:pos:R:3 pbc="T T T"
Ca 0.0000 0.0000 1.6113
Ca 0.0000 0.0000 14.2257
Ac 0.0000 0.0000 5.3767
Ac 0.0000 0.0000 10.4602
Cd -5.1595 0.0000 7.9185
Cd -1.5151 -3.3335 5.2790
Cd -2.5797 1.4894 2.6395
Cd -3.6444 0.3547 5.2790
Cd -2.4930 -1.4394 7.5309
Cd 1.5151 -3.3335 5.2790
Cd -2.1294 2.9788 5.2790
Cd 0.0000 -2.8787 8.3060
Cd -2.4930 1.4394 8.3060
Cd 2.5797 1.4894 2.6395
Cd 2.4930 -1.4394 7.5309
Cd 0.0000 2.8787 7.5309
Cd 3.6444 0.3547 5.2790
Cd 2.1294 2.9788 5.2790
Cd 2.4930 1.4394 8.3060
```

# Ce2B10Os
Simulated XRD peak list, λ = 1.5418 Å (Cu Kα). Input: the GGA-PBE geometry in Alexandria.

Most intense lines, 2θ from 10° to 90°, low angle first:
2θ = 17.32°, d = 5.120 Å, rel. 31; 2θ = 21.98°, d = 4.044 Å, rel. 42; 2θ = 27.50°, d = 3.243 Å, rel. 46; 2θ = 30.72°, d = 2.910 Å, rel. 62; 2θ = 38.09°, d = 2.362 Å, rel. 100; 2θ = 44.82°, d = 2.022 Å, rel. 31

```
26
Lattice="5.7273 0.0000 0.0000 0.0000 11.4244 0.0000 0.0000 0.0000 4.1916" Properties=species:S:1:pos:R:3 pbc="T T T"
Ce 1.2549 1.4954 0.0000
Ce 1.6088 7.2075 0.0000
Ce 4.1185 4.2168 0.0000
Ce 4.4724 9.9290 0.0000
B 0.3380 3.5052 2.0958
B 0.6781 10.9391 2.0958
B 0.7585 9.1719 2.0958
B 1.2736 4.3555 0.8342
B 1.2736 4.3555 3.3574
B 1.5900 10.0676 0.8342
B 1.5900 10.0676 3.3574
B 2.1051 3.4597 2.0958
B 2.1856 5.2269 2.0958
B 2.5256 9.2174 2.0958
B 3.2017 2.2070 2.0958
B 3.5417 6.1975 2.0958
B 3.6222 7.9646 2.0958
B 4.1373 1.3567 0.8342
B 4.1373 1.3567 3.3574
B 4.4537 7.0689 0.8342
B 4.4537 7.0689 3.3574
B 4.9688 2.2524 2.0958
B 5.0492 0.4853 2.0958
B 5.3892 7.9192 2.0958
Os 0.0000 5.7122 2.0958
Os 2.8636 0.0000 2.0958
```

> What is the formula in the third record?

Ce2B10Os